(1)
NdMoN: theoretical powder X-ray diffraction pattern (Cu Kα (λ = 1.5418 Å)), based on the GGA-PBE geometry in Alexandria.
Intensities are scaled so that the largest is 1000.

The 10 most intense peaks (10 to 80 degrees two-theta), sorted by position:
d_spacing  2θ (°)  I (rel.)  (hkl)
2.899  30.8  522  4 0 0
2.743  32.6  537  0 0 2
2.670  33.6  1000  1 1 1
2.237  40.3  896  3 1 1
1.993  45.5  307  4 0 2
1.771  51.6  296  5 1 1
1.584  58.3  356  0 2 0
1.418  65.9  152  7 1 1
1.390  67.4  336  4 2 0
1.293  73.2  147  3 0 4

Structure:
abc: 11.595 3.169 5.485
angles: 90.00 90.00 90.00
Space group Amm2 (No. 38)
Inequivalent atoms, fractional coordinates:
Nd: 0.139 0.000 0.000 x4
Mo: 0.391 0.000 0.336 x4
N: 0.000 0.000 0.333 x2
N: 0.500 0.000 0.002 x2

(2)
BaAc4Au4: theoretical powder X-ray diffraction pattern (Cu Kα (λ = 1.5418 Å)), based on the GGA-PBE geometry in Alexandria.
Intensities are scaled so that the largest is 1000.

The 10 most intense peaks (10 to 80 degrees two-theta), sorted by position:
d_spacing  2θ (°)  I (rel.)  (hkl)
7.329  12.1  225  1 1 0
3.278  27.2  1000  3 1 0
3.174  28.1  469  0 0 2
2.318  38.9  404  2 4 0
2.280  39.5  757  3 1 2
1.872  48.6  429  2 4 2
1.466  63.5  193  5 5 0
1.456  63.9  189  6 2 2
1.428  65.3  177  3 1 4
1.331  70.8  292  5 5 2

Structure:
abc: 10.365 10.365 6.348
angles: 90.00 90.00 90.00
Space group I4/m (No. 87)
Inequivalent atoms, fractional coordinates:
Ba: 0.000 0.000 0.000 x2
Ac: 0.106 0.691 0.500 x8
Au: 0.106 0.692 0.000 x8

(3)
SiSn4Se6: theoretical powder X-ray diffraction pattern (Cu Kα (λ = 1.5418 Å)), based on the GGA-PBE geometry in Alexandria.
Intensities are scaled so that the largest is 1000.

The 10 most intense peaks (10 to 80 degrees two-theta), sorted by position:
d_spacing  2θ (°)  I (rel.)  (hkl)
4.335  20.5  1000  3 1 -2
4.194  21.2  522  4 0 -2
3.486  25.5  794  0 2 1
3.090  28.9  551  0 2 2
2.983  30.0  602  1 1 3
2.744  32.6  559  6 0 -2
2.693  33.3  592  6 0 -4
2.502  35.9  424  5 1 -5
2.196  41.1  522  6 2 -2
2.135  42.3  416  3 3 -3

Structure:
abc: 16.790 7.313 14.002
angles: 90.00 124.35 90.00
Space group Cc (No. 9)
Inequivalent atoms, fractional coordinates:
Si: 0.000 0.220 0.000 x4
Sn: 0.050 0.314 0.596 x4
Sn: 0.230 0.442 0.907 x4
Sn: 0.273 0.102 0.221 x4
Sn: 0.417 0.344 0.712 x4
Se: 0.020 0.463 0.914 x4
Se: 0.045 0.038 0.448 x4
Se: 0.096 0.224 0.197 x4
Se: 0.259 0.282 0.745 x4
Se: 0.341 0.240 0.444 x4
Se: 0.378 0.315 0.118 x4